The following is a computed XRD peak list of Zr21S8. It was derived from a DFT-relaxed cell (GGA-PBE, OQMD), using CuKα.
Lines closer than 0.1° are merged.

Principal peaks in the range 10° ≤ 2θ ≤ 90°, in order of rising 2θ:
2θ (°), intensity
32.5, 270
35.2, 460
35.5, 1000
36.9, 657
38.1, 252
63.4, 258

Atomic structure:
```
Zr21S8
1.0
-9.0021 9.0021 1.7767
9.0021 -9.0021 1.7767
9.0021 9.0021 -1.7767
Zr S
21 8
Direct
0.0000 0.0000 0.0000
0.0329 0.7268 0.7597
0.0849 0.4539 0.5387
0.1902 0.6043 0.7945
0.1944 0.2000 0.3944
0.2000 0.8056 0.0056
0.2732 0.0329 0.3061
0.3645 0.5456 0.9101
0.3957 0.1902 0.5859
0.4544 0.3645 0.8188
0.4539 0.9151 0.3690
0.5461 0.0849 0.6310
0.5456 0.6355 0.1812
0.6043 0.8098 0.4141
0.6355 0.4544 0.0899
0.7268 0.9671 0.6939
0.8000 0.1944 0.9944
0.8056 0.8000 0.6056
0.8098 0.3957 0.2055
0.9151 0.5461 0.4613
0.9671 0.2732 0.2403
0.0671 0.8672 0.9343
0.1328 0.0671 0.1998
0.2058 0.3542 0.5600
0.3542 0.7942 0.1485
0.6458 0.2058 0.8515
0.7942 0.6458 0.4400
0.8672 0.9329 0.8002
0.9329 0.1328 0.0657
```